[1]
# Hg2IBr
Computed X-ray diffraction stick pattern, Cu Kα X-rays. Input: DFT lattice parameters and positions (PBE).
Peak positions follow from Bragg's law for the DFT cell and can differ from measured ones.

Top 10 peaks for 10 to 90 degrees two-theta, sorted by position:
Position (°2θ)  I_rel
19.61  32
25.61  100
30.90  25
36.53  40
40.55  49
43.19  19
48.58  29
57.82  16
59.41  20
68.48  21

Atomic structure:
```
data_Hg2IBr
_chemical_formula_sum 'Hg2 I1 Br1'
_symmetry_space_group_name_H-M 'P 1'
_symmetry_Int_Tables_number 1
_cell_length_a 6.752
_cell_length_b 6.752
_cell_length_c 6.752
_cell_angle_alpha 137.27
_cell_angle_beta 137.27
_cell_angle_gamma 62.02
loop_
_symmetry_equiv_pos_as_xyz
'x,y,z'
loop_
_atom_site_label
_atom_site_fract_x
_atom_site_fract_y
_atom_site_fract_z
Hg1 0.000 0.000 0.000
Hg2 0.229 0.229 0.000
I1 0.761 0.761 0.000
Br1 0.456 0.456 0.000
```

[2]
# CuP4Se3I
Computed X-ray diffraction stick pattern, Cu Kα X-rays. Input: DFT lattice parameters and positions (PBE).
Peak positions follow from Bragg's law for the DFT cell and can differ from measured ones.

Top 10 peaks for 10 to 90 degrees two-theta, sorted by position:
Position (°2θ)  I_rel
18.08  87
27.41  27
27.85  100
28.61  59
29.09  32
29.46  20
32.31  43
44.05  23
46.43  23
53.29  29

Atomic structure:
```
data_CuP4Se3I
_chemical_formula_sum 'Cu4 P16 Se12 I4'
_symmetry_space_group_name_H-M 'P 1'
_symmetry_Int_Tables_number 1
_cell_length_a 12.120
_cell_length_b 12.120
_cell_length_c 10.908
_cell_angle_alpha 90.00
_cell_angle_beta 90.00
_cell_angle_gamma 141.91
loop_
_symmetry_equiv_pos_as_xyz
'x,y,z'
loop_
_atom_site_label
_atom_site_fract_x
_atom_site_fract_y
_atom_site_fract_z
Cu1 0.198 0.198 0.000
Cu2 0.302 0.302 0.500
Cu3 0.698 0.698 0.500
Cu4 0.802 0.802 0.000
P1 0.062 0.222 0.457
P2 0.115 0.885 0.709
P3 0.219 0.781 0.472
P4 0.222 0.062 0.543
P5 0.278 0.438 0.043
P6 0.281 0.719 0.972
P7 0.385 0.615 0.209
P8 0.438 0.278 0.957
P9 0.562 0.722 0.043
P10 0.615 0.385 0.791
P11 0.719 0.281 0.028
P12 0.722 0.562 0.957
P13 0.778 0.938 0.457
P14 0.781 0.219 0.528
P15 0.885 0.115 0.291
P16 0.938 0.778 0.543
Se1 0.062 0.379 0.571
Se2 0.121 0.438 0.929
Se3 0.213 0.787 0.682
Se4 0.287 0.713 0.182
Se5 0.379 0.062 0.429
Se6 0.438 0.121 0.071
Se7 0.562 0.879 0.929
Se8 0.621 0.938 0.571
Se9 0.713 0.287 0.818
Se10 0.787 0.213 0.318
Se11 0.879 0.562 0.071
Se12 0.938 0.621 0.429
I1 0.033 0.967 0.182
I2 0.467 0.533 0.682
I3 0.533 0.467 0.318
I4 0.967 0.033 0.818
```

[3]
# Nd2GdGa3AgPt2
Computed X-ray diffraction stick pattern, Cu Kα X-rays. Input: DFT lattice parameters and positions (PBE).
Peak positions follow from Bragg's law for the DFT cell and can differ from measured ones.

Top 10 peaks for 10 to 90 degrees two-theta, sorted by position:
Position (°2θ)  I_rel
13.56  17
23.60  22
32.97  98
35.80  100
36.41  32
41.50  47
43.32  29
46.32  25
63.92  26
66.91  19

Atomic structure:
```
data_Nd2GdGa3AgPt2
_chemical_formula_sum 'Nd2 Gd1 Ga3 Ag1 Pt2'
_symmetry_space_group_name_H-M 'P 1'
_symmetry_Int_Tables_number 1
_cell_length_a 3.920
_cell_length_b 7.534
_cell_length_c 7.534
_cell_angle_alpha 119.87
_cell_angle_beta 90.00
_cell_angle_gamma 90.00
loop_
_symmetry_equiv_pos_as_xyz
'x,y,z'
loop_
_atom_site_label
_atom_site_fract_x
_atom_site_fract_y
_atom_site_fract_z
Nd1 0.000 0.206 0.794
Nd2 0.000 0.794 0.206
Gd1 0.000 0.618 0.618
Ga1 0.500 0.209 0.470
Ga2 0.500 0.470 0.209
Ga3 0.500 0.940 0.940
Ag1 0.000 0.209 0.209
Pt1 0.500 0.541 0.867
Pt2 0.500 0.867 0.541
```

[4]
# Ni4B3
Computed X-ray diffraction stick pattern, Cu Kα X-rays. Input: DFT lattice parameters and positions (PBE).
Peak positions follow from Bragg's law for the DFT cell and can differ from measured ones.

Top 10 peaks for 10 to 90 degrees two-theta, sorted by position:
Position (°2θ)  I_rel
36.21  52
40.05  32
42.70  70
43.57  100
46.92  44
47.30  40
47.62  53
50.74  32
51.66  37
61.96  33

Atomic structure:
```
data_Ni4B3
_chemical_formula_sum 'Ni16 B12'
_symmetry_space_group_name_H-M 'P 1'
_symmetry_Int_Tables_number 1
_cell_length_a 11.973
_cell_length_b 2.995
_cell_length_c 6.579
_cell_angle_alpha 90.00
_cell_angle_beta 90.00
_cell_angle_gamma 90.00
loop_
_symmetry_equiv_pos_as_xyz
'x,y,z'
loop_
_atom_site_label
_atom_site_fract_x
_atom_site_fract_y
_atom_site_fract_z
Ni1 0.050 0.250 0.249
Ni2 0.124 0.250 0.831
Ni3 0.149 0.750 0.508
Ni4 0.200 0.750 0.120
Ni5 0.300 0.250 0.620
Ni6 0.351 0.250 0.008
Ni7 0.376 0.750 0.331
Ni8 0.450 0.750 0.749
Ni9 0.550 0.250 0.251
Ni10 0.624 0.250 0.669
Ni11 0.649 0.750 0.992
Ni12 0.700 0.750 0.380
Ni13 0.800 0.250 0.880
Ni14 0.851 0.250 0.492
Ni15 0.876 0.750 0.169
Ni16 0.950 0.750 0.751
B1 0.025 0.250 0.562
B2 0.039 0.750 0.022
B3 0.243 0.250 0.318
B4 0.257 0.750 0.818
B5 0.461 0.250 0.522
B6 0.475 0.750 0.062
B7 0.525 0.250 0.938
B8 0.539 0.750 0.478
B9 0.743 0.250 0.182
B10 0.757 0.750 0.682
B11 0.961 0.250 0.978
B12 0.975 0.750 0.438
```

[5]
# Cu3Ag4
Computed X-ray diffraction stick pattern, Cu Kα X-rays. Input: DFT lattice parameters and positions (PBE).
Peak positions follow from Bragg's law for the DFT cell and can differ from measured ones.

Top 10 peaks for 10 to 90 degrees two-theta, sorted by position:
Position (°2θ)  I_rel
29.54  2
39.56  100
45.86  32
46.28  16
66.87  9
67.20  19
80.51  11
80.63  11
81.18  11
85.18  9

Atomic structure:
```
data_Cu3Ag4
_chemical_formula_sum 'Cu3 Ag4'
_symmetry_space_group_name_H-M 'P 1'
_symmetry_Int_Tables_number 1
_cell_length_a 4.840
_cell_length_b 4.840
_cell_length_c 6.259
_cell_angle_alpha 97.53
_cell_angle_beta 97.53
_cell_angle_gamma 47.83
loop_
_symmetry_equiv_pos_as_xyz
'x,y,z'
loop_
_atom_site_label
_atom_site_fract_x
_atom_site_fract_y
_atom_site_fract_z
Cu1 0.000 0.000 0.000
Cu2 0.566 0.566 0.735
Cu3 0.706 0.706 0.132
Ag1 0.141 0.141 0.423
Ag2 0.276 0.276 0.866
Ag3 0.428 0.428 0.280
Ag4 0.858 0.858 0.584
```

[6]
# Y2Al3GaNi2
Computed X-ray diffraction stick pattern, Cu Kα X-rays. Input: DFT lattice parameters and positions (PBE).
Peak positions follow from Bragg's law for the DFT cell and can differ from measured ones.

Top 10 peaks for 10 to 90 degrees two-theta, sorted by position:
Position (°2θ)  I_rel
10.05  26
27.13  23
34.04  69
34.42  100
34.54  95
37.12  24
37.33  28
42.51  57
45.72  42
64.19  29

Atomic structure:
```
data_Y2Al3GaNi2
_chemical_formula_sum 'Y2 Al3 Ga1 Ni2'
_symmetry_space_group_name_H-M 'P 1'
_symmetry_Int_Tables_number 1
_cell_length_a 9.022
_cell_length_b 9.022
_cell_length_c 4.254
_cell_angle_alpha 90.33
_cell_angle_beta 90.33
_cell_angle_gamma 25.41
loop_
_symmetry_equiv_pos_as_xyz
'x,y,z'
loop_
_atom_site_label
_atom_site_fract_x
_atom_site_fract_y
_atom_site_fract_z
Y1 0.000 0.000 0.000
Y2 0.227 0.227 0.507
Al1 0.431 0.431 0.496
Al2 0.649 0.649 0.004
Al3 0.797 0.797 0.011
Ga1 0.576 0.576 0.503
Ni1 0.368 0.368 0.995
Ni2 0.860 0.860 0.512
```

[7]
# BaAg2GeSe2S2
Computed X-ray diffraction stick pattern, Cu Kα X-rays. Input: DFT lattice parameters and positions (PBE).
Peak positions follow from Bragg's law for the DFT cell and can differ from measured ones.

Top 10 peaks for 10 to 90 degrees two-theta, sorted by position:
Position (°2θ)  I_rel
24.35  28
25.73  24
27.70  100
28.04  78
29.33  31
34.65  37
35.17  39
36.25  48
45.41  27
47.03  23

Atomic structure:
```
data_BaAg2GeSe2S2
_chemical_formula_sum 'Ba1 Ag2 Ge1 Se2 S2'
_symmetry_space_group_name_H-M 'P 1'
_symmetry_Int_Tables_number 1
_cell_length_a 6.471
_cell_length_b 6.471
_cell_length_c 6.927
_cell_angle_alpha 121.25
_cell_angle_beta 121.25
_cell_angle_gamma 79.83
loop_
_symmetry_equiv_pos_as_xyz
'x,y,z'
loop_
_atom_site_label
_atom_site_fract_x
_atom_site_fract_y
_atom_site_fract_z
Ba1 0.000 0.000 0.000
Ag1 0.312 0.688 0.500
Ag2 0.692 0.308 0.500
Ge1 0.488 0.512 0.000
Se1 0.464 0.150 0.619
Se2 0.850 0.536 0.381
S1 0.157 0.487 0.017
S2 0.513 0.843 0.983
```

[8]
# Cu7Ag2
Computed X-ray diffraction stick pattern, Cu Kα X-rays. Input: DFT lattice parameters and positions (PBE).
Peak positions follow from Bragg's law for the DFT cell and can differ from measured ones.

Top 10 peaks for 10 to 90 degrees two-theta, sorted by position:
Position (°2θ)  I_rel
35.94  5
38.82  3
41.71  100
47.50  35
50.60  12
62.96  3
69.43  10
71.91  15
84.39  23
89.08  7

Atomic structure:
```
data_Cu7Ag2
_chemical_formula_sum 'Cu7 Ag2'
_symmetry_space_group_name_H-M 'P 1'
_symmetry_Int_Tables_number 1
_cell_length_a 16.349
_cell_length_b 16.349
_cell_length_c 16.349
_cell_angle_alpha 170.50
_cell_angle_beta 170.50
_cell_angle_gamma 13.45
loop_
_symmetry_equiv_pos_as_xyz
'x,y,z'
loop_
_atom_site_label
_atom_site_fract_x
_atom_site_fract_y
_atom_site_fract_z
Cu1 0.000 0.000 0.000
Cu2 0.224 0.224 0.000
Cu3 0.327 0.327 0.000
Cu4 0.449 0.449 0.000
Cu5 0.551 0.551 0.000
Cu6 0.673 0.673 0.000
Cu7 0.776 0.776 0.000
Ag1 0.112 0.112 0.000
Ag2 0.888 0.888 0.000
```

[9]
# NaIn2AgS4
Computed X-ray diffraction stick pattern, Cu Kα X-rays. Input: DFT lattice parameters and positions (PBE).
Peak positions follow from Bragg's law for the DFT cell and can differ from measured ones.

Top 10 peaks for 10 to 90 degrees two-theta, sorted by position:
Position (°2θ)  I_rel
16.52  20
26.01  100
29.26  13
41.86  21
43.73  38
49.94  31
53.20  13
69.88  11
77.75  12
82.34  7

Atomic structure:
```
data_NaIn2AgS4
_chemical_formula_sum 'Na1 In2 Ag1 S4'
_symmetry_space_group_name_H-M 'P 1'
_symmetry_Int_Tables_number 1
_cell_length_a 7.097
_cell_length_b 7.097
_cell_length_c 7.097
_cell_angle_alpha 129.05
_cell_angle_beta 129.05
_cell_angle_gamma 74.92
loop_
_symmetry_equiv_pos_as_xyz
'x,y,z'
loop_
_atom_site_label
_atom_site_fract_x
_atom_site_fract_y
_atom_site_fract_z
Na1 0.000 0.000 0.000
In1 0.500 0.500 0.000
In2 0.750 0.250 0.500
Ag1 0.250 0.750 0.500
S1 0.130 0.143 0.532
S2 0.402 0.870 0.013
S3 0.611 0.598 0.468
S4 0.857 0.389 0.987
```